Calculated PXRD pattern
Compound: La2C2Cl
Radiation: Cu Kα (λ = 1.5418 Å)
Structure: a PBE-relaxed structure
No peak broadening, texture or thermal motion is included.

Atomic structure:
abc: 7.8209 7.8209 6.7788
angles: 101.01 101.01 31.43
Positions (direct):
La (0.0491, 0.6523, 0.8486)
La (0.3477, 0.9509, 0.6514)
La (0.6523, 0.0491, 0.3486)
La (0.9509, 0.3477, 0.1514)
C (0.1414, 0.4132, 0.4733)
C (0.4132, 0.1414, 0.9733)
C (0.5868, 0.8586, 0.0267)
C (0.8586, 0.5868, 0.5267)
Cl (0.2868, 0.7132, 0.2500)
Cl (0.7132, 0.2868, 0.7500)

Main lines, in order of falling intensity (10 to 80 degrees two-theta):
2θ/deg	I (rel.)
29.3	100
26.3	55
31.7	36
27.2	32
32.5	29
45.5	28